Record 1
For Li8Mn3Fe5B8O24, the PBE+U geometry in Alexandria gives the simulated powder X-ray diffraction pattern in this record (Cu Ka).
Intensities are scaled so that the largest is 100.

Peak list (6 most intense, 2θ = 10–90°, in order of rising 2θ)
- 4.514 Å, 2θ = 19.67°, rel. 56
- 4.114 Å, 2θ = 21.60°, rel. 83
- 4.102 Å, 2θ = 21.67°, rel. 40
- 3.426 Å, 2θ = 26.01°, rel. 51
- 2.610 Å, 2θ = 34.36°, rel. 39
- 2.522 Å, 2θ = 35.60°, rel. 100

Structure:
```
data_Li8Mn3Fe5B8O24
_chemical_formula_sum 'Li8 Mn3 Fe5 B8 O24'
_space_group_name_H-M_alt 'P 1'
_space_group_IT_number 1
_space_group_name_Hall 'P 1'
_cell_length_a 5.2208
_cell_length_b 5.2326
_cell_length_c 20.1835
_cell_angle_alpha 91.02
_cell_angle_beta 90.84
_cell_angle_gamma 119.47
loop_
_atom_site_label
_atom_site_type_symbol
_atom_site_fract_x
_atom_site_fract_y
_atom_site_fract_z
_atom_site_occupancy
Li1 Li 0.0000 0.0000 0.0000 1
Li2 Li 0.9997 0.0029 0.4984 1
Li3 Li 0.0157 0.9778 0.2448 1
Li4 Li 0.0182 0.9791 0.7503 1
Li5 Li 0.3239 0.3201 0.6220 1
Li6 Li 0.3283 0.3210 0.1219 1
Li7 Li 0.3378 0.3099 0.3715 1
Li8 Li 0.3378 0.3130 0.8793 1
Mn1 Mn 0.3486 0.6617 0.2622 1
Mn2 Mn 0.6616 0.9865 0.6412 1
Mn3 Mn 0.6822 0.3329 0.5153 1
Fe1 Fe 0.0031 0.6468 0.8908 1
Fe2 Fe 0.3554 0.6552 0.7664 1
Fe3 Fe 0.6645 0.9866 0.1375 1
Fe4 Fe 0.6814 0.3320 0.0145 1
Fe5 Fe 0.9956 0.6543 0.3875 1
B1 B 0.0065 0.6532 0.1400 1
B2 B 0.0071 0.6544 0.6428 1
B3 B 0.3362 0.6588 0.5173 1
B4 B 0.3366 0.6576 0.0167 1
B5 B 0.6675 0.9901 0.3909 1
B6 B 0.6708 0.3150 0.2640 1
B7 B 0.6717 0.9911 0.8952 1
B8 B 0.6737 0.3187 0.7699 1
O1 O 0.0225 0.9233 0.1453 1
O2 O 0.0254 0.9256 0.6504 1
O3 O 0.0926 0.6804 0.9954 1
O4 O 0.0974 0.6877 0.4960 1
O5 O 0.2511 0.6219 0.6592 1
O6 O 0.2544 0.6277 0.1578 1
O7 O 0.3117 0.3849 0.5226 1
O8 O 0.3178 0.3870 0.0222 1
O9 O 0.3954 0.2850 0.2720 1
O10 O 0.4001 0.2962 0.7768 1
O11 O 0.4207 0.7316 0.3679 1
O12 O 0.4220 0.7328 0.8742 1
O13 O 0.6007 0.9131 0.0346 1
O14 O 0.6039 0.9110 0.5350 1
O15 O 0.6440 0.2371 0.4089 1
O16 O 0.6472 0.2406 0.9121 1
O17 O 0.6943 0.0753 0.7473 1
O18 O 0.7027 0.0776 0.2415 1
O19 O 0.7460 0.4094 0.6204 1
O20 O 0.7472 0.4036 0.1183 1
O21 O 0.9208 0.5827 0.2806 1
O22 O 0.9287 0.5829 0.7868 1
O23 O 0.9394 0.0059 0.3972 1
O24 O 0.9418 0.0061 0.9001 1
```

=====

Record 2
For TlFeB2F8, the PBE+U geometry in Alexandria gives the simulated powder X-ray diffraction pattern in this record (Cu Ka).
Intensities are scaled so that the largest is 100.

Peak list (6 most intense, 2θ = 10–90°, in order of rising 2θ)
- 4.361 Å, 2θ = 20.36°, rel. 27
- 4.148 Å, 2θ = 21.42°, rel. 45
- 3.529 Å, 2θ = 25.23°, rel. 100
- 2.563 Å, 2θ = 35.00°, rel. 32
- 2.433 Å, 2θ = 36.94°, rel. 55
- 2.138 Å, 2θ = 42.26°, rel. 45

Structure:
```
data_TlFeB2F8
_chemical_formula_sum 'Tl3 Fe3 B6 F24'
_space_group_name_H-M_alt 'R -3'
_space_group_IT_number 148
_space_group_name_Hall '-R 3'
_cell_length_a 5.1268
_cell_length_b 5.1268
_cell_length_c 23.2663
_cell_angle_alpha 90.00
_cell_angle_beta 90.00
_cell_angle_gamma 120.00
loop_
_atom_site_label
_atom_site_type_symbol
_atom_site_fract_x
_atom_site_fract_y
_atom_site_fract_z
_atom_site_occupancy
Tl1 Tl 0.0000 0.0000 0.0000 1
Fe1 Fe 0.0000 0.0000 0.5000 1
B1 B 0.0000 0.0000 0.2442 1
F1 F 0.0000 0.0000 0.3056 1
F2 F 0.0051 0.2646 0.2249 1
```